# Na3CoBSO7
Computed powder XRD pattern, λ = 1.5418 Å (Cu Kα). Input: the PBE+U geometry in the Materials Project.

Atomic structure:
```
Na3CoBSO7
1.0
5.279 0.000 0.000
0.018 6.855 0.000
0.222 0.002 8.988
Na Co B S O
6 2 2 2 14
direct
0.000 0.000 0.000
0.001 0.516 0.000
0.009 0.758 0.696
0.506 0.258 0.825
0.514 0.501 0.520
0.516 0.016 0.522
0.524 0.758 0.097
0.992 0.255 0.425
0.024 0.258 0.695
0.491 0.758 0.827
0.043 0.758 0.343
0.472 0.258 0.180
0.047 0.258 0.846
0.192 0.258 0.215
0.234 0.262 0.595
0.281 0.758 0.927
0.323 0.758 0.308
0.468 0.758 0.676
0.538 0.433 0.088
0.539 0.083 0.088
0.613 0.257 0.321
0.723 0.758 0.899
0.791 0.254 0.623
0.902 0.758 0.201
0.976 0.933 0.435
0.977 0.583 0.435
```

Largest 10 diffraction maxima, by angle, 10 to 90 degrees two-theta:
5.450 Å, 2θ = 16.3°, intensity 444, (0 1 -1)
4.601 Å, 2θ = 19.3°, intensity 325, (1 0 1)
4.500 Å, 2θ = 19.7°, intensity 325, (1 0 -1)
3.464 Å, 2θ = 25.7°, intensity 513, (1 0 2)
3.427 Å, 2θ = 26.0°, intensity 1000, (0 2 0)
2.748 Å, 2θ = 32.6°, intensity 734, (1 -2 1)
2.726 Å, 2θ = 32.9°, intensity 871, (-1 2 1)
2.638 Å, 2θ = 34.0°, intensity 925, (2 0 0)
1.879 Å, 2θ = 48.4°, intensity 273, (0 2 4)
1.714 Å, 2θ = 53.5°, intensity 396, (0 4 0)

---

# Mn3O4
Computed powder XRD pattern, λ = 1.5418 Å (Cu Kα). Input: the PBE+U geometry in the Materials Project.

Atomic structure:
```
Mn3O4
1.0
3.173 0.000 0.000
0.000 10.479 0.000
0.000 0.000 12.149
Mn O
12 16
direct
0.241 0.123 0.044
0.241 0.123 0.456
0.241 0.377 0.544
0.241 0.377 0.956
0.257 0.526 0.250
0.257 0.974 0.750
0.743 0.026 0.250
0.743 0.474 0.750
0.759 0.623 0.044
0.759 0.623 0.456
0.759 0.877 0.544
0.759 0.877 0.956
0.242 0.122 0.250
0.242 0.378 0.750
0.256 0.506 0.095
0.256 0.506 0.405
0.256 0.994 0.595
0.256 0.994 0.905
0.263 0.750 0.000
0.263 0.750 0.500
0.737 0.250 0.000
0.737 0.250 0.500
0.744 0.006 0.095
0.744 0.006 0.405
0.744 0.494 0.595
0.744 0.494 0.905
0.758 0.622 0.250
0.758 0.878 0.750
```

Largest 10 diffraction maxima, by angle, 10 to 90 degrees two-theta:
6.075 Å, 2θ = 14.6°, intensity 516, (0 0 2)
5.240 Å, 2θ = 16.9°, intensity 744, (0 2 0)
4.811 Å, 2θ = 18.4°, intensity 1000, (0 2 1)
3.968 Å, 2θ = 22.4°, intensity 415, (0 2 2)
3.037 Å, 2θ = 29.4°, intensity 697, (0 0 4)
2.429 Å, 2θ = 37.0°, intensity 347, (1 1 3)
2.306 Å, 2θ = 39.1°, intensity 580, (1 3 1)
2.204 Å, 2θ = 40.9°, intensity 553, (0 2 5)
2.191 Å, 2θ = 41.2°, intensity 494, (1 3 2)
1.689 Å, 2θ = 54.3°, intensity 398, (1 3 5)

---

# Li2CrNiP2O8
Computed powder XRD pattern, λ = 1.5418 Å (Cu Kα). Input: the PBE+U geometry in the Materials Project.

Atomic structure:
```
Li2CrNiP2O8
1.0
4.758 0.000 0.000
0.000 6.144 0.000
-0.176 0.000 10.199
Li Cr Ni P O
4 2 2 4 16
direct
0.000 0.000 0.000
0.000 0.500 0.000
0.500 0.000 0.500
0.500 0.500 0.500
0.042 0.250 0.720
0.958 0.750 0.280
0.481 0.250 0.220
0.519 0.750 0.780
0.084 0.750 0.595
0.417 0.750 0.092
0.583 0.250 0.908
0.916 0.250 0.405
0.194 0.750 0.452
0.228 0.552 0.665
0.228 0.948 0.665
0.239 0.250 0.400
0.258 0.250 0.901
0.288 0.545 0.161
0.288 0.955 0.161
0.296 0.750 0.949
0.704 0.250 0.051
0.712 0.045 0.839
0.712 0.455 0.839
0.742 0.750 0.099
0.761 0.750 0.600
0.772 0.052 0.335
0.772 0.448 0.335
0.806 0.250 0.548
```

Largest 10 diffraction maxima, by angle, 10 to 90 degrees two-theta:
5.099 Å, 2θ = 17.4°, intensity 478, (0 0 2)
4.340 Å, 2θ = 20.5°, intensity 520, (1 0 -1)
4.283 Å, 2θ = 20.7°, intensity 333, (1 0 1)
3.924 Å, 2θ = 22.7°, intensity 261, (0 1 2)
3.545 Å, 2θ = 25.1°, intensity 588, (1 1 -1)
3.513 Å, 2θ = 25.4°, intensity 744, (1 1 1)
3.072 Å, 2θ = 29.1°, intensity 1000, (0 2 0)
2.539 Å, 2θ = 35.3°, intensity 704, (1 1 -3)
2.506 Å, 2θ = 35.8°, intensity 978, (1 1 3)
1.756 Å, 2θ = 52.1°, intensity 331, (2 2 2)